Entry 1:
# Pr3ZnOs
Theoretical powder diffraction line list, Cu Kα X-rays. Input: DFT lattice parameters and positions (PBE).
No peak broadening, texture or thermal motion is included.

Principal peaks in the range 15 to 90 degrees two-theta, in order of falling intensity:
| d/Å | Position (°2θ) | I/Imax |
| --- | --- | --- |
| 2.614 | 34.30 | 100 |
| 2.941 | 30.40 | 54 |
| 2.559 | 35.07 | 49 |
| 2.789 | 32.09 | 45 |
| 2.281 | 39.52 | 41 |
| 2.374 | 37.90 | 39 |

Structural model:
```
Pr3ZnOs
1.0
0.000 5.030 8.078
3.307 0.000 8.078
3.307 5.030 0.000
Pr Zn Os
6 2 2
Direct
0.197 0.197 0.803 Pr
0.207 0.583 0.417 Pr
0.417 0.793 0.207 Pr
0.583 0.207 0.793 Pr
0.793 0.417 0.583 Pr
0.803 0.803 0.197 Pr
0.190 0.810 0.810 Zn
0.810 0.190 0.190 Zn
0.250 0.250 0.250 Os
0.750 0.750 0.750 Os
```



Entry 2:
# Er4C2N
Theoretical powder diffraction line list, Cu Kα X-rays. Input: DFT lattice parameters and positions (PBE).
No peak broadening, texture or thermal motion is included.

Principal peaks in the range 15 to 90 degrees two-theta, in order of falling intensity:
| d/Å | Position (°2θ) | I/Imax |
| --- | --- | --- |
| 2.607 | 34.40 | 100 |
| 2.911 | 30.72 | 97 |
| 2.541 | 35.32 | 78 |
| 2.377 | 37.85 | 38 |
| 1.456 | 63.96 | 36 |
| 1.736 | 52.73 | 28 |

Structural model:
```
Er4C2N
1.0
1.755 -5.820 0.000
1.755 5.820 0.000
0.000 0.000 11.668
Er C N
8 4 2
Direct
0.000 0.000 0.000 Er
0.000 0.000 0.500 Er
0.273 0.727 0.617 Er
0.273 0.727 0.883 Er
0.466 0.534 0.250 Er
0.534 0.466 0.750 Er
0.727 0.273 0.117 Er
0.727 0.273 0.383 Er
0.363 0.637 0.067 C
0.363 0.637 0.433 C
0.637 0.363 0.567 C
0.637 0.363 0.933 C
0.097 0.903 0.250 N
0.903 0.097 0.750 N
```



Entry 3:
# LaDy2Y2Ho2
Theoretical powder diffraction line list, Cu Kα X-rays. Input: DFT lattice parameters and positions (PBE).
No peak broadening, texture or thermal motion is included.

Principal peaks in the range 15 to 90 degrees two-theta, in order of falling intensity:
| d/Å | Position (°2θ) | I/Imax |
| --- | --- | --- |
| 2.762 | 32.41 | 100 |
| 2.900 | 30.83 | 95 |
| 2.542 | 35.30 | 87 |
| 2.919 | 30.63 | 81 |
| 2.718 | 32.96 | 70 |
| 3.132 | 28.50 | 64 |

Structural model:
```
LaDy2Y2Ho2
1.0
11.710 0.000 0.000
0.000 3.522 0.000
-3.793 0.000 11.192
La Dy Y Ho
2 4 4 4
Direct
0.000 0.000 0.000 La
0.500 0.500 0.000 La
0.171 0.500 0.582 Dy
0.329 0.000 0.418 Dy
0.671 0.000 0.582 Dy
0.829 0.500 0.418 Dy
0.053 0.500 0.276 Y
0.447 0.000 0.724 Y
0.553 0.000 0.276 Y
0.947 0.500 0.724 Y
0.223 0.000 0.857 Ho
0.277 0.500 0.143 Ho
0.723 0.500 0.857 Ho
0.777 0.000 0.143 Ho
```



Entry 4:
# Na2Ho2PuS6
Theoretical powder diffraction line list, Cu Kα X-rays. Input: DFT lattice parameters and positions (PBE).
No peak broadening, texture or thermal motion is included.

Principal peaks in the range 15 to 90 degrees two-theta, in order of falling intensity:
| d/Å | Position (°2θ) | I/Imax |
| --- | --- | --- |
| 2.841 | 31.49 | 100 |
| 3.387 | 26.31 | 60 |
| 3.252 | 27.42 | 36 |
| 1.983 | 45.75 | 35 |
| 2.210 | 40.83 | 27 |
| 2.033 | 44.57 | 24 |

Structural model:
```
Na2Ho2PuS6
1.0
3.439 -5.944 0.000
3.439 5.944 0.000
-2.268 0.000 6.735
Na Ho Pu S
2 2 1 6
Direct
0.168 0.832 0.000 Na
0.832 0.168 0.000 Na
0.334 0.666 0.500 Ho
0.666 0.334 0.500 Ho
0.000 0.000 0.500 Pu
0.069 0.401 0.719 S
0.252 0.252 0.281 S
0.401 0.069 0.719 S
0.599 0.931 0.281 S
0.748 0.748 0.719 S
0.931 0.599 0.281 S
```



Entry 5:
# CaNi2RhC
Theoretical powder diffraction line list, Cu Kα X-rays. Input: DFT lattice parameters and positions (PBE).
No peak broadening, texture or thermal motion is included.

Principal peaks in the range 15 to 90 degrees two-theta, in order of falling intensity:
| d/Å | Position (°2θ) | I/Imax |
| --- | --- | --- |
| 2.325 | 38.73 | 100 |
| 1.992 | 45.52 | 36 |
| 1.431 | 65.18 | 23 |
| 1.205 | 79.55 | 22 |
| 2.057 | 44.01 | 20 |
| 3.985 | 22.31 | 17 |

Structural model:
```
CaNi2RhC
1.0
3.985 0.000 0.000
0.000 3.985 0.000
0.000 0.000 4.115
Ca Ni Rh C
1 2 1 1
Direct
0.000 0.000 0.000 Ca
0.000 0.500 0.500 Ni
0.500 0.000 0.500 Ni
0.500 0.500 0.000 Rh
0.500 0.500 0.500 C
```



Entry 6:
# CaSiPt3
Theoretical powder diffraction line list, Cu Kα X-rays. Input: DFT lattice parameters and positions (PBE).
No peak broadening, texture or thermal motion is included.

Principal peaks in the range 15 to 90 degrees two-theta, in order of falling intensity:
| d/Å | Position (°2θ) | I/Imax |
| --- | --- | --- |
| 2.360 | 38.13 | 100 |
| 2.962 | 30.17 | 91 |
| 2.281 | 39.50 | 59 |
| 3.041 | 29.38 | 53 |
| 3.975 | 22.36 | 49 |
| 2.220 | 40.63 | 48 |

Structural model:
```
CaSiPt3
1.0
-2.786 4.441 3.975
2.786 -4.441 3.975
2.786 4.441 -3.975
Ca Si Pt
2 2 6
Direct
0.291 0.041 0.250 Ca
0.709 0.959 0.750 Ca
0.000 0.500 0.500 Si
0.500 0.500 0.000 Si
0.134 0.384 0.750 Pt
0.236 0.000 0.736 Pt
0.236 0.500 0.236 Pt
0.764 0.000 0.264 Pt
0.764 0.500 0.764 Pt
0.866 0.616 0.250 Pt
```



Entry 7:
# UCrH
Theoretical powder diffraction line list, Cu Kα X-rays. Input: DFT lattice parameters and positions (PBE).
No peak broadening, texture or thermal motion is included.

Principal peaks in the range 15 to 90 degrees two-theta, in order of falling intensity:
| d/Å | Position (°2θ) | I/Imax |
| --- | --- | --- |
| 2.831 | 31.60 | 100 |
| 3.114 | 28.66 | 77 |
| 2.576 | 34.82 | 52 |
| 3.584 | 24.84 | 35 |
| 2.615 | 34.30 | 31 |
| 2.389 | 37.65 | 26 |

Structural model:
```
UCrH
1.0
7.318 0.000 0.000
0.000 4.176 0.000
-1.067 0.000 5.190
U Cr H
4 4 4
Direct
0.202 0.027 0.302 U
0.202 0.473 0.802 U
0.798 0.527 0.198 U
0.798 0.973 0.698 U
0.445 0.732 0.369 Cr
0.445 0.768 0.869 Cr
0.555 0.232 0.131 Cr
0.555 0.268 0.631 Cr
0.011 0.746 0.003 H
0.011 0.754 0.503 H
0.989 0.246 0.497 H
0.989 0.254 0.997 H
```



Entry 8:
# ErMg3
Theoretical powder diffraction line list, Cu Kα X-rays. Input: DFT lattice parameters and positions (PBE).
No peak broadening, texture or thermal motion is included.

Principal peaks in the range 15 to 90 degrees two-theta, in order of falling intensity:
| d/Å | Position (°2θ) | I/Imax |
| --- | --- | --- |
| 4.212 | 21.09 | 100 |
| 2.584 | 34.72 | 88 |
| 2.571 | 34.90 | 43 |
| 2.194 | 41.13 | 36 |
| 3.636 | 24.48 | 35 |
| 1.487 | 62.47 | 31 |

Structural model:
```
ErMg3
1.0
5.142 0.000 0.000
0.000 5.142 0.000
0.000 0.000 7.344
Er Mg
2 6
Direct
0.000 0.000 0.000 Er
0.500 0.500 0.500 Er
0.000 0.000 0.500 Mg
0.000 0.500 0.250 Mg
0.000 0.500 0.750 Mg
0.500 0.000 0.250 Mg
0.500 0.000 0.750 Mg
0.500 0.500 0.000 Mg
```